(1)
The following is a theoretical powder diffraction line list of Th2TlI8. It was derived from a structure optimized by DFT (GGA-PBE), using Cu Ka.

Cell and atoms:
```
Th2TlI8
1.0
10.7168 0.0000 0.0000
-5.3584 9.2810 0.0000
0.0000 0.0000 6.2475
Th Tl I
2 1 8
Cartesian
0.0000 6.1873 1.5344
5.3584 3.0937 4.7130
0.0000 0.0000 0.0000
-0.0102 3.1938 1.6173
-2.5873 7.6930 1.6173
0.0000 6.1873 4.6728
2.7608 1.6058 4.6302
2.5976 7.6752 1.6173
5.3584 3.0937 1.5747
7.9457 1.5880 4.6302
5.3686 6.0872 4.6302
```

Largest 10 diffraction maxima, in order of rising 2θ, 2θ = 10–90°:
| Position (°2θ) | I_rel |
| --- | --- |
| 16.5 | 85 |
| 17.1 | 75 |
| 19.1 | 42 |
| 23.9 | 50 |
| 28.6 | 29 |
| 29.2 | 33 |
| 33.4 | 100 |
| 34.6 | 58 |
| 44.6 | 58 |
| 69.7 | 23 |



(2)
The following is a theoretical powder diffraction line list of Tl2GaF8. It was derived from a structure optimized by DFT (GGA-PBE), using Cu Ka.

Cell and atoms:
```
Tl2GaF8
1.0
6.6230 0.0000 0.0000
-3.3115 5.7357 0.0000
0.0000 0.0000 4.5131
Tl Ga F
2 1 8
Cartesian
0.0000 3.8238 1.1985
3.3115 1.9119 3.3147
0.0000 0.0000 2.2566
-0.0066 1.5943 1.1782
-1.9275 4.9443 1.1782
1.3774 0.8029 3.3349
0.0000 3.8238 3.4612
3.3115 1.9119 1.0519
1.9342 4.9329 1.1782
5.2391 0.7914 3.3349
3.3182 4.1415 3.3349
```

Largest 10 diffraction maxima, in order of rising 2θ, 2θ = 10–90°:
| Position (°2θ) | I_rel |
| --- | --- |
| 25.1 | 100 |
| 26.9 | 87 |
| 37.1 | 17 |
| 46.5 | 47 |
| 47.6 | 17 |
| 48.8 | 16 |
| 51.5 | 14 |
| 55.5 | 17 |
| 59.1 | 17 |
| 61.8 | 15 |



(3)
The following is a theoretical powder diffraction line list of PPb. It was derived from a structure optimized by DFT (GGA-PBE), using Cu Ka.

Cell and atoms:
```
PPb
1.0
10.1024 0.0000 0.0000
0.0000 3.2874 0.0000
-2.6868 0.0000 6.5756
P Pb
4 4
Cartesian
1.8009 0.0000 0.0157
0.5635 1.6437 6.5599
6.8521 1.6437 0.0157
5.6147 0.0000 6.5599
-0.0142 0.0000 2.2579
2.3786 1.6437 4.3177
5.0370 1.6437 2.2579
7.4298 0.0000 4.3177
```

Largest 10 diffraction maxima, in order of rising 2θ, 2θ = 10–90°:
| Position (°2θ) | I_rel |
| --- | --- |
| 13.5 | 50 |
| 26.6 | 88 |
| 27.3 | 82 |
| 28.8 | 100 |
| 33.5 | 59 |
| 35.6 | 32 |
| 37.3 | 35 |
| 38.4 | 32 |
| 41.8 | 46 |
| 47.7 | 31 |



(4)
The following is a theoretical powder diffraction line list of Ba2TlF8. It was derived from a structure optimized by DFT (GGA-PBE), using Cu Ka.

Cell and atoms:
```
Ba2TlF8
1.0
-2.8286 6.6913 2.3293
2.8286 -6.6913 2.3293
2.8286 6.6913 -2.3293
Ba Tl F
2 1 8
Cartesian
0.0000 2.2980 0.0000
0.0000 11.0846 0.0000
0.0000 6.6913 0.3942
2.8286 2.8770 -0.0218
1.3736 5.0490 -0.0178
1.4549 -1.6424 2.3115
1.3736 8.3337 -0.0178
1.4549 1.6424 2.3115
0.0000 3.8144 2.3075
-1.3576 6.6913 2.2202
1.3576 6.6913 2.2202
```

Largest 10 diffraction maxima, in order of rising 2θ, 2θ = 10–90°:
| Position (°2θ) | I_rel |
| --- | --- |
| 24.8 | 93 |
| 25.4 | 100 |
| 27.7 | 61 |
| 31.6 | 22 |
| 38.7 | 25 |
| 40.4 | 18 |
| 42.5 | 90 |
| 46.8 | 29 |
| 48.0 | 38 |
| 52.7 | 21 |



(5)
The following is a theoretical powder diffraction line list of CeNd7Tl4. It was derived from a structure optimized by DFT (GGA-PBE), using Cu Ka.

Cell and atoms:
```
CeNd7Tl4
1.0
7.6148 -2.9529 0.0000
7.6148 2.9529 0.0000
-5.2373 0.0000 8.6186
Ce Nd Tl
1 7 4
Cartesian
0.0000 0.0000 0.0000
-1.0846 0.0000 3.4786
-1.5895 0.0000 7.6003
2.3063 0.0000 2.5961
7.6148 0.0000 0.0000
7.6861 0.0000 6.0225
11.5819 0.0000 1.0183
11.0769 0.0000 5.1400
1.3576 0.0000 5.6816
5.3886 0.0000 2.4497
4.6038 0.0000 6.1689
8.6348 0.0000 2.9370
```

Largest 10 diffraction maxima, in order of rising 2θ, 2θ = 10–90°:
| Position (°2θ) | I_rel |
| --- | --- |
| 28.9 | 37 |
| 29.2 | 30 |
| 30.3 | 100 |
| 30.9 | 22 |
| 31.1 | 22 |
| 31.4 | 27 |
| 32.0 | 25 |
| 34.0 | 72 |
| 42.3 | 26 |
| 44.0 | 20 |



(6)
The following is a theoretical powder diffraction line list of NaBiH8Rh4. It was derived from a structure optimized by DFT (GGA-PBE), using Cu Ka.

Cell and atoms:
```
NaBiH8Rh4
1.0
2.8007 1.6170 5.0987
-2.8007 1.6170 5.0987
0.0000 -3.2339 5.0987
Na Bi H Rh
1 1 8 4
Cartesian
0.0000 0.0000 0.0000
0.0000 0.0000 9.6170
0.0000 -1.9239 7.9086
-1.6662 0.9620 7.9086
0.0000 0.0000 6.0699
-1.3435 -0.7757 11.6234
0.0000 0.0000 13.0858
1.6662 0.9620 7.9086
1.3435 -0.7757 11.6234
0.0000 1.5513 11.6234
-1.3843 -0.7992 7.1873
0.0000 0.0000 4.0398
1.3843 -0.7992 7.1873
0.0000 1.5985 7.1873
```

Largest 10 diffraction maxima, in order of rising 2θ, 2θ = 10–90°:
| Position (°2θ) | I_rel |
| --- | --- |
| 19.2 | 76 |
| 32.0 | 22 |
| 34.7 | 49 |
| 35.2 | 32 |
| 36.6 | 100 |
| 39.0 | 62 |
| 44.2 | 27 |
| 58.7 | 21 |
| 60.0 | 24 |
| 61.8 | 25 |



(7)
The following is a theoretical powder diffraction line list of Ba4SrRe3ClO15. It was derived from a structure optimized by DFT (GGA-PBE), using Cu Ka.

Cell and atoms:
```
Ba4SrRe3ClO15
1.0
10.9898 0.0000 0.0000
-5.4949 9.5174 0.0000
0.0000 0.0000 7.8905
Ba Sr Re Cl O
8 2 6 2 30
Cartesian
-1.4393 2.4930 0.0000
-4.0441 7.0046 3.9600
2.8787 0.0000 0.0000
1.4508 2.5129 3.9600
0.0000 6.3449 1.9196
5.4949 3.1725 1.9196
8.0882 0.0000 3.9600
4.0555 7.0244 0.0000
0.0000 6.3449 5.8947
5.4949 3.1725 5.8947
-2.1254 3.6813 3.5658
-3.3213 5.7526 7.4002
4.2508 0.0000 3.5658
2.1736 3.7648 7.4002
6.6425 0.0000 7.4002
3.3695 5.8361 3.5658
0.0000 0.0000 2.3109
0.0000 0.0000 6.3036
-1.5436 2.6737 4.8904
-3.8395 6.6502 0.9395
-0.6860 3.7146 2.3981
-1.5532 5.2272 7.7003
-1.6799 5.4472 3.9556
-2.5962 7.0466 6.3001
-1.9349 8.2542 2.3981
0.6905 3.7458 6.3001
3.0873 0.0000 4.8904
1.6554 2.8672 0.9395
3.5600 1.2632 2.3981
2.8987 2.4708 6.3001
-0.1914 8.2490 7.7003
1.6175 5.3390 3.9556
0.0624 8.2487 3.9556
1.7446 5.5587 7.7003
5.3035 1.2685 7.7003
3.8150 4.0703 3.9556
5.5573 1.2687 3.9556
3.9416 4.2902 7.7003
1.9057 8.2425 6.3001
2.6209 7.0660 2.3981
7.6790 0.0000 0.9395
3.9512 6.8438 4.8904
7.4006 1.2749 6.3001
4.8089 5.8028 2.3981
6.1853 5.7716 6.3001
8.1158 2.4514 2.3981
7.2395 3.9587 7.7003
7.1123 4.1784 3.9556
```

Largest 10 diffraction maxima, in order of rising 2θ, 2θ = 10–90°:
| Position (°2θ) | I_rel |
| --- | --- |
| 19.7 | 27 |
| 22.5 | 33 |
| 27.2 | 100 |
| 27.8 | 81 |
| 28.1 | 74 |
| 35.9 | 32 |
| 40.0 | 23 |
| 42.6 | 25 |
| 48.9 | 18 |
| 52.2 | 21 |



(8)
The following is a theoretical powder diffraction line list of Cs3Tl4Hg2. It was derived from a structure optimized by DFT (GGA-PBE), using Cu Ka.

Cell and atoms:
```
Cs3Tl4Hg2
1.0
7.1532 -2.7406 0.0000
7.1532 2.7406 0.0000
-6.2225 0.0000 9.7155
Cs Tl Hg
3 4 2
Cartesian
0.0000 0.0000 0.0000
1.7370 0.0000 3.6133
6.3468 0.0000 6.1022
-3.7345 0.0000 6.3259
-2.0695 0.0000 9.0793
10.1533 0.0000 0.6362
11.8183 0.0000 3.3896
5.6272 0.0000 2.2472
2.4567 0.0000 7.4683
```

Largest 10 diffraction maxima, in order of rising 2θ, 2θ = 10–90°:
| Position (°2θ) | I_rel |
| --- | --- |
| 12.4 | 35 |
| 25.6 | 100 |
| 27.5 | 36 |
| 28.4 | 47 |
| 29.3 | 53 |
| 29.7 | 56 |
| 32.7 | 55 |
| 36.3 | 23 |
| 37.4 | 25 |
| 44.7 | 37 |



(9)
The following is a theoretical powder diffraction line list of Pm4PrNdS8. It was derived from a structure optimized by DFT (GGA-PBE), using Cu Ka.

Cell and atoms:
```
Pm4PrNdS8
1.0
4.1533 2.3979 6.8103
-4.1533 2.3979 6.8103
0.0000 -4.7958 6.8103
Pm Pr Nd S
4 1 1 8
Cartesian
0.0000 0.0000 0.0000
0.0000 -2.4031 11.0605
-2.0811 1.2016 11.0605
2.0812 1.2016 11.0605
0.0000 0.0000 7.6496
0.0000 0.0000 15.3039
0.0000 -2.2751 5.8734
-1.9703 1.1376 5.8734
0.0000 0.0000 2.7053
-1.9561 -1.1293 9.4408
1.9703 1.1376 5.8734
0.0000 0.0000 12.5800
1.9561 -1.1293 9.4408
0.0000 2.2587 9.4408
```

Largest 10 diffraction maxima, in order of rising 2θ, 2θ = 10–90°:
| Position (°2θ) | I_rel |
| --- | --- |
| 21.4 | 27 |
| 25.1 | 100 |
| 26.2 | 12 |
| 30.4 | 20 |
| 39.8 | 12 |
| 39.8 | 32 |
| 43.5 | 30 |
| 43.6 | 30 |
| 50.9 | 11 |
| 80.0 | 15 |



(10)
The following is a theoretical powder diffraction line list of SnPdPt14. It was derived from a structure optimized by DFT (GGA-PBE), using Cu Ka.

Cell and atoms:
```
SnPdPt14
1.0
9.3671 0.0000 0.0000
0.0000 2.7966 4.8637
0.0000 -2.7966 4.8637
Sn Pd Pt
1 1 14
Cartesian
0.0000 0.0000 0.0000
0.0000 0.0000 4.8721
0.0000 -1.3929 7.2973
0.0000 1.3929 7.2973
2.3427 -1.3952 4.0624
2.3393 0.0000 1.6403
2.3427 1.3952 4.0624
2.3431 0.0000 6.4954
4.6835 0.0000 3.2550
4.6835 -1.3992 5.6875
4.6835 1.3992 5.6875
4.6835 0.0000 8.1184
7.0243 -1.3952 4.0624
7.0278 0.0000 1.6403
7.0243 1.3952 4.0624
7.0240 0.0000 6.4954
```

Largest 10 diffraction maxima, in order of rising 2θ, 2θ = 10–90°:
| Position (°2θ) | I_rel |
| --- | --- |
| 38.2 | 19 |
| 38.4 | 91 |
| 41.9 | 49 |
| 42.0 | 100 |
| 47.4 | 30 |
| 66.7 | 22 |
| 71.9 | 31 |
| 79.7 | 32 |
| 79.9 | 13 |
| 82.1 | 17 |